[1]
Starting from a crystal structure in the Materials Project, relaxed with PBE+U, the XRD peak list of CoAsO5 was computed for Cu Kα X-rays.

Main lines, sorted by position (15 to 90 degrees two-theta):
Position (°2θ)	I/Imax
23.55	48.7
24.72	37.9
25.06	38.2
28.48	100.0
29.64	80.1
30.48	72.0
31.07	97.2
34.13	32.0
34.51	44.8
56.23	29.0

Crystal structure
```
CoAsO5
1.0
6.620 0.000 0.000
-0.836 7.367 0.000
-1.474 -0.437 15.114
Co As O
8 8 40
Cartesian
-0.246 2.818 6.516
0.568 2.563 0.770
0.939 0.291 14.101
1.527 0.878 8.284
2.784 6.051 6.830
3.372 6.638 1.014
3.743 4.367 14.344
4.556 4.111 8.598
-0.629 5.953 6.151
0.035 6.844 1.662
0.447 4.521 13.676
1.289 3.923 9.247
3.021 3.006 5.867
3.863 2.409 1.438
4.275 0.085 13.452
4.939 0.977 8.963
-1.286 6.983 4.967
-0.412 1.940 5.105
-1.021 0.799 14.394
-0.374 1.198 7.757
0.447 1.145 1.997
-0.241 4.381 5.488
-0.887 3.800 14.551
-0.092 3.962 8.124
0.395 5.975 3.029
0.803 3.588 2.048
0.023 6.037 13.026
1.164 -0.210 9.529
0.772 6.625 6.934
1.402 6.913 0.546
1.145 1.155 12.754
0.942 4.855 10.619
0.923 3.503 12.349
1.709 2.283 6.799
2.498 2.311 0.302
1.644 2.275 9.571
2.666 4.654 5.543
1.813 4.619 14.812
2.601 4.647 8.316
3.387 3.427 2.765
3.368 2.075 4.495
3.165 5.775 2.360
2.908 0.017 14.568
3.538 0.305 8.180
3.146 7.140 5.585
4.287 0.893 2.088
3.507 3.342 13.066
3.915 0.954 12.085
4.403 2.968 6.990
5.197 3.129 0.563
4.552 2.549 9.626
3.863 5.785 13.117
4.684 5.732 7.357
5.331 6.131 0.720
4.722 4.990 10.009
5.596 -0.053 10.147
```

***

[2]
Starting from a crystal structure in the Materials Project, relaxed with PBE+U, the XRD peak list of NiH8I2O10 was computed for Cu Kα X-rays.

Main lines, sorted by position (15 to 90 degrees two-theta):
Position (°2θ)	I/Imax
17.23	85.0
19.29	24.0
21.07	100.0
25.45	29.5
25.95	43.3
30.52	36.8
32.49	32.6
42.60	23.1
44.80	16.8
53.40	18.0

Crystal structure
```
NiH8I2O10
1.0
8.373 0.000 0.000
0.000 6.578 0.000
-1.358 0.000 8.437
Ni H I O
2 16 4 20
Cartesian
0.000 0.000 0.000
-0.679 3.289 4.218
-0.336 0.828 2.552
-1.015 2.461 6.771
0.939 3.326 2.215
0.260 6.541 6.434
1.227 4.013 6.091
1.906 5.854 1.872
1.532 4.716 4.671
2.212 5.151 0.453
4.803 1.427 7.984
5.482 1.862 3.766
5.108 0.724 6.565
5.787 2.565 2.346
6.754 0.037 2.003
6.075 3.252 6.222
8.029 4.116 1.666
7.350 5.750 5.885
2.058 1.181 4.444
2.738 2.108 0.225
4.277 4.470 8.211
4.956 5.397 3.993
0.174 3.895 2.491
-0.505 5.972 6.709
0.292 1.431 3.972
-0.387 1.858 8.190
1.167 3.896 5.108
1.846 5.971 0.889
1.814 0.784 6.212
2.494 2.505 1.993
1.548 3.805 7.952
2.228 6.062 3.733
4.787 0.516 4.703
5.466 2.773 0.485
4.521 4.073 6.444
5.200 5.794 2.225
5.168 0.607 7.547
5.847 2.682 3.329
7.401 4.720 0.246
6.722 5.146 4.465
7.520 0.606 1.728
6.840 2.683 5.946
```

***

[3]
Starting from a crystal structure in the Materials Project, relaxed with PBE+U, the XRD peak list of CoPO4 was computed for Cu Kα X-rays.

Main lines, sorted by position (15 to 90 degrees two-theta):
Position (°2θ)	I/Imax
15.95	84.8
21.61	27.8
22.05	86.9
23.61	100.0
28.76	44.7
32.21	30.9
33.87	24.3
35.01	34.9
36.79	33.6
48.58	23.8

Crystal structure
```
CoPO4
1.0
10.587 0.000 0.000
0.000 6.530 0.000
0.000 0.000 5.126
Co P O
4 4 16
Cartesian
1.759 0.210 0.000
3.535 3.475 2.563
7.052 3.055 0.000
8.828 6.320 2.563
1.009 5.092 2.561
4.284 1.827 5.124
6.302 4.703 2.561
9.578 1.438 5.124
0.499 1.563 4.793
1.196 5.315 4.084
1.618 6.305 1.807
1.737 3.779 2.180
3.557 0.514 4.743
3.675 3.040 4.370
4.097 2.050 1.521
4.794 4.828 2.230
5.793 1.702 4.793
6.490 4.480 4.084
6.911 3.490 1.807
7.030 6.016 2.180
8.850 2.751 4.743
8.969 0.225 4.370
9.390 1.215 1.521
10.088 4.967 2.230
```

***

[4]
Starting from a crystal structure in the Materials Project, relaxed with PBE+U, the XRD peak list of SrNiF4 was computed for Cu Kα X-rays.

Main lines, sorted by position (15 to 90 degrees two-theta):
Position (°2θ)	I/Imax
24.52	40.4
27.92	100.0
29.24	70.2
31.68	29.2
40.47	23.0
41.55	31.6
43.38	48.0
45.09	38.3
52.98	28.6
54.65	22.7

Crystal structure
```
SrNiF4
1.0
2.011 -7.262 0.000
2.011 7.262 0.000
0.000 0.000 5.649
Sr Ni F
2 2 8
Cartesian
2.011 4.999 2.824
2.011 -4.999 0.000
2.011 1.260 3.128
2.011 -1.260 0.303
2.011 6.033 0.412
2.011 2.960 4.233
2.011 2.361 1.485
2.011 0.508 5.037
2.011 -0.508 2.212
2.011 -2.361 4.309
2.011 -2.960 1.409
2.011 -6.033 3.237
```

***

[5]
Starting from a crystal structure in the Materials Project, relaxed with PBE+U, the XRD peak list of LiCoPO4 was computed for Cu Kα X-rays.

Main lines, sorted by position (15 to 90 degrees two-theta):
Position (°2θ)	I/Imax
19.49	100.0
19.69	18.1
22.32	31.5
24.62	13.6
31.02	18.9
31.73	11.7
33.62	14.7
39.60	16.5
40.56	11.3
48.99	11.9

Crystal structure
```
LiCoPO4
1.0
4.130 -2.883 0.000
4.130 2.883 0.000
-0.526 0.000 15.932
Li Co P O
4 4 4 16
Cartesian
1.726 0.142 4.097
1.463 -0.142 12.062
6.271 0.142 3.869
6.008 -0.142 11.835
2.351 1.369 14.620
5.120 1.369 9.278
2.614 -1.369 6.654
5.383 -1.369 1.312
3.947 1.523 2.056
4.050 1.523 5.910
3.684 -1.523 10.022
3.787 -1.523 13.876
0.477 0.013 2.343
0.214 -0.013 10.309
2.758 1.363 3.041
3.248 1.500 0.650
3.004 0.393 5.792
4.749 1.500 7.316
5.239 1.363 4.925
2.741 -0.393 13.758
4.993 0.393 2.174
2.495 -1.363 11.007
2.985 -1.500 8.616
4.730 -0.393 10.140
4.486 -1.500 15.282
4.976 -1.363 12.891
7.520 0.013 5.623
7.257 -0.013 13.588
```

***

[6]
Starting from a crystal structure in the Materials Project, relaxed with PBE+U, the XRD peak list of Li7CoO4F2 was computed for Cu Kα X-rays.

Main lines, sorted by position (15 to 90 degrees two-theta):
Position (°2θ)	I/Imax
17.64	100.0
17.99	63.2
19.46	75.4
20.00	70.4
20.81	63.8
21.92	31.1
32.59	73.3
33.69	90.1
44.74	38.3
52.72	37.3

Crystal structure
```
Li7CoO4F2
1.0
5.347 0.000 0.000
2.397 5.190 0.000
0.702 2.687 9.861
Li Co O F
14 2 8 4
Cartesian
0.000 0.000 0.000
6.379 3.152 7.740
2.337 5.420 4.573
3.951 4.658 9.405
2.998 1.553 1.629
4.248 4.010 4.612
5.379 6.543 6.102
4.497 4.083 2.494
5.414 6.705 8.322
3.345 1.487 3.944
6.342 2.856 1.085
6.233 2.961 5.422
7.398 5.589 6.700
6.526 2.992 3.311
3.969 3.809 6.611
7.659 5.499 2.266
1.193 1.167 1.789
2.558 3.785 5.100
2.801 3.550 1.244
2.869 3.369 7.478
5.447 4.945 6.569
4.682 2.283 3.243
4.825 1.938 5.955
6.398 4.678 2.834
3.513 6.665 8.222
4.221 5.728 4.386
3.436 0.236 0.007
5.848 4.526 9.281
```

***

[7]
Starting from a crystal structure in the Materials Project, relaxed with PBE+U, the XRD peak list of Na3Mn2P2C2O14 was computed for Cu Kα X-rays.

Main lines, sorted by position (15 to 90 degrees two-theta):
Position (°2θ)	I/Imax
16.69	100.0
19.42	35.2
19.94	42.8
21.75	45.5
24.13	49.9
25.77	79.6
27.09	93.7
33.55	39.6
33.74	39.4
34.41	56.7

Crystal structure
```
Na3Mn2P2C2O14
1.0
5.215 0.000 0.000
0.000 6.583 0.000
-0.537 0.000 18.000
Na Mn P C O
6 4 4 4 28
Cartesian
0.000 1.495 0.000
-0.269 5.088 9.000
2.272 1.723 13.314
2.540 4.860 4.314
2.547 1.697 4.359
2.279 4.886 13.359
2.595 3.225 8.087
2.326 3.358 17.087
4.653 0.032 14.345
4.922 6.551 5.345
0.030 3.276 6.047
-0.239 3.307 15.047
1.973 0.026 16.365
2.241 6.557 7.365
0.046 6.580 2.899
-0.223 0.003 11.899
2.493 3.272 1.486
2.224 3.311 10.486
0.208 0.018 1.686
-0.060 6.565 10.686
0.453 0.094 15.989
0.722 6.489 6.989
0.765 0.011 12.795
1.033 6.572 3.795
1.527 3.283 0.593
1.259 3.300 9.593
1.569 3.273 6.370
1.300 3.310 15.370
2.304 3.250 2.721
2.035 3.333 11.721
2.555 1.216 8.201
2.286 5.367 17.201
2.317 1.255 17.238
2.586 5.328 8.238
2.763 0.037 15.016
3.032 6.546 6.016
3.677 3.292 0.924
3.408 3.291 9.923
3.815 0.013 12.516
4.084 6.570 3.516
4.173 3.240 16.358
4.442 3.343 7.358
4.900 2.034 5.191
4.631 4.549 14.191
4.661 2.096 14.129
4.930 4.487 5.129
```